For PrSi2Tc2, the GGA-PBE geometry in Alexandria gives the computed XRD peak list in this record (a wavelength of 1.5418 Å).

The 10 most intense peaks (2θ from 10° to 90°), sorted by position:
hkl	two_theta	d (Å)	I_rel
1 0 3	25.04	3.556	19
0 0 6	25.55	3.486	14
0 1 5	30.16	2.963	18
1 1 4	34.96	2.567	100
1 1 6	40.07	2.250	37
0 2 0	43.09	2.099	28
2 0 0	43.79	2.067	26
1 0 9	44.72	2.026	13
1 1 10	53.75	1.705	17
2 2 0	63.12	1.473	17

Crystal structure
abc: 4.135 4.198 20.917
angles: 90.00 90.00 90.00
Space group Imma (No. 74)
Inequivalent atoms, fractional coordinates:
Pr 0.000 0.250 0.164 x4
Si 0.000 0.250 0.604 x4
Si 0.000 0.250 0.721 x4
Tc 0.000 0.250 0.462 x4
Tc 0.000 0.250 0.964 x4